Simulated powder diffraction line list
Compound: FeI3
Radiation: Cu Kα (weighted mean of Kα1 and Kα2)
Structure: a cell relaxed with GGA-PBE

Atomic structure:
abc: 6.7960 6.7960 7.3877
angles: 90.00 90.00 120.00
Space group P-31m (No. 162)
One atom of each set of equivalent atoms:
Fe: 0.3333 0.6667 0.0000 x2
I: 0.0000 0.3697 0.7991 x6

Peak list (8 most intense, 2θ from 10° to 90°, in order of rising 2θ)
| hkl | 2θ (°) | d (Å) | intensity |
| --- | --- | --- | --- |
| 0 0 1 | 11.98 | 7.388 | 47 |
| 1 0 0 | 15.05 | 5.886 | 16 |
| 0 0 2 | 24.09 | 3.694 | 19 |
| 1 1 1 | 28.92 | 3.087 | 100 |
| 1 1 2 | 35.91 | 2.501 | 48 |
| 2 -1 3 | 45.49 | 1.994 | 25 |
| 3 0 0 | 46.28 | 1.962 | 22 |
| 1 1 4 | 56.73 | 1.623 | 14 |

***

Simulated powder diffraction line list
Compound: Dy4ZnNi2
Radiation: Cu Kα (weighted mean of Kα1 and Kα2)
Structure: a cell relaxed with GGA-PBE

Atomic structure:
abc: 4.7227 4.7227 25.6393
angles: 90.00 90.00 120.00
Space group R-3m (No. 166, hexagonal axes)
One atom of each set of equivalent atoms:
Dy: 0.0000 0.0000 0.1177 x6
Dy: 0.0000 0.0000 0.2950 x6
Zn: 0.0000 0.0000 0.5000 x3
Ni: 0.0000 0.0000 0.4053 x6

Peak list (8 most intense, 2θ from 10° to 90°, in order of rising 2θ)
| hkl | 2θ (°) | d (Å) | intensity |
| --- | --- | --- | --- |
| 0 1 5 | 27.90 | 3.197 | 90 |
| 1 0 7 | 32.82 | 2.729 | 40 |
| 1 1 0 | 38.11 | 2.361 | 100 |
| 1 0 10 | 41.57 | 2.172 | 45 |
| 2 0 5 | 47.89 | 1.900 | 21 |
| 1 2 5 | 62.78 | 1.480 | 19 |
| 3 0 0 | 68.87 | 1.363 | 17 |
| 2 1 10 | 71.23 | 1.324 | 18 |

***

Simulated powder diffraction line list
Compound: KPtBr
Radiation: Cu Kα (weighted mean of Kα1 and Kα2)
Structure: a cell relaxed with GGA-PBE

Atomic structure:
abc: 5.1411 17.2673 4.2262
angles: 90.00 90.00 90.00
Space group Cmc2_1 (No. 36)
One atom of each set of equivalent atoms:
K: 0.0000 0.1177 0.0000 x4
Pt: 0.0000 0.4617 0.1100 x4
Br: 0.0000 0.3255 0.9165 x4

Peak list (8 most intense, 2θ from 10° to 90°, in order of rising 2θ)
| hkl | 2θ (°) | d (Å) | intensity |
| --- | --- | --- | --- |
| 0 2 0 | 10.25 | 8.634 | 71 |
| 1 1 0 | 18.00 | 4.927 | 100 |
| 1 1 1 | 27.81 | 3.208 | 31 |
| 1 3 1 | 31.50 | 2.840 | 31 |
| 2 0 0 | 34.90 | 2.571 | 26 |
| 0 6 1 | 37.82 | 2.379 | 23 |
| 1 5 1 | 37.93 | 2.372 | 21 |
| 1 7 1 | 46.12 | 1.968 | 19 |

***

Simulated powder diffraction line list
Compound: Sm6Er4Th
Radiation: Cu Kα (weighted mean of Kα1 and Kα2)
Structure: a cell relaxed with GGA-PBE

Atomic structure:
abc: 5.8094 9.6567 25.7327
angles: 90.00 90.00 90.00
Space group Cmcm (No. 63)
One atom of each set of equivalent atoms:
Sm: 0.0000 0.0000 0.0000 x4
Sm: 0.0000 0.0483 0.2500 x4
Sm: 0.0000 0.2984 0.6002 x8
Sm: 0.0000 0.3779 0.1814 x8
Er: 0.0000 0.0455 0.1233 x8
Er: 0.0000 0.3482 0.0423 x8
Th: 0.0000 0.2907 0.7500 x4

Peak list (8 most intense, 2θ from 10° to 90°, in order of rising 2θ)
| hkl | 2θ (°) | d (Å) | intensity |
| --- | --- | --- | --- |
| 1 1 7 | 30.22 | 2.957 | 86 |
| 0 2 7 | 30.56 | 2.925 | 70 |
| 2 0 0 | 30.78 | 2.905 | 92 |
| 1 3 0 | 31.78 | 2.816 | 100 |
| 1 3 1 | 31.98 | 2.799 | 65 |
| 1 1 8 | 33.16 | 2.702 | 66 |
| 2 2 7 | 43.93 | 2.061 | 52 |
| 3 1 7 | 54.41 | 1.686 | 31 |

***

Simulated powder diffraction line list
Compound: PuTh2MoN5
Radiation: Cu Kα (weighted mean of Kα1 and Kα2)
Structure: a cell relaxed with GGA-PBE

Atomic structure:
abc: 6.8192 6.8192 5.9301
angles: 90.00 90.00 90.00
Space group P4/mbm (No. 127)
One atom of each set of equivalent atoms:
Pu: 0.0000 0.0000 0.0000 x2
Th: 0.1706 0.3294 0.5000 x4
Mo: 0.0000 0.5000 0.0000 x2
N: 0.0000 0.0000 0.5000 x2
N: 0.1446 0.6446 0.2344 x8

Peak list (8 most intense, 2θ from 10° to 90°, in order of rising 2θ)
| hkl | 2θ (°) | d (Å) | intensity |
| --- | --- | --- | --- |
| 1 1 1 | 23.78 | 3.741 | 19 |
| 2 1 0 | 29.29 | 3.050 | 20 |
| 0 0 2 | 30.21 | 2.959 | 100 |
| 2 1 1 | 33.03 | 2.712 | 39 |
| 2 2 0 | 37.30 | 2.411 | 15 |
| 3 1 0 | 41.89 | 2.156 | 14 |
| 2 1 2 | 42.52 | 2.126 | 24 |
| 2 0 3 | 53.59 | 1.710 | 15 |

***

Simulated powder diffraction line list
Compound: NbSn2S2
Radiation: Cu Kα (weighted mean of Kα1 and Kα2)
Structure: a cell relaxed with GGA-PBE

Atomic structure:
abc: 6.4717 6.4717 5.7161
angles: 90.00 90.00 90.00
Space group P4/mbm (No. 127)
One atom of each set of equivalent atoms:
Nb: 0.0000 0.0000 0.0000 x2
Sn: 0.2057 0.2943 0.5000 x4
S: 0.1693 0.3307 0.0000 x4

Peak list (8 most intense, 2θ from 10° to 90°, in order of rising 2θ)
| hkl | 2θ (°) | d (Å) | intensity |
| --- | --- | --- | --- |
| 1 1 1 | 24.92 | 3.572 | 25 |
| 2 1 0 | 30.90 | 2.894 | 46 |
| 0 0 2 | 31.30 | 2.858 | 60 |
| 2 0 1 | 31.78 | 2.816 | 100 |
| 2 2 0 | 39.38 | 2.288 | 33 |
| 2 1 2 | 44.55 | 2.034 | 33 |
| 2 2 2 | 51.14 | 1.786 | 31 |
| 4 1 2 | 68.16 | 1.376 | 22 |

***

Simulated powder diffraction line list
Compound: Sr4SmPa3N8
Radiation: Cu Kα (weighted mean of Kα1 and Kα2)
Structure: a cell relaxed with GGA-PBE

Atomic structure:
abc: 7.2435 7.2435 18.0332
angles: 90.00 90.00 120.00
Space group R-3m (No. 166, hexagonal axes)
One atom of each set of equivalent atoms:
Sr: 0.0000 0.0000 0.0000 x3
Sr: 0.0000 0.5000 0.0000 x9
Sm: 0.0000 0.0000 0.5000 x3
Pa: 0.0000 0.5000 0.5000 x9
N: 0.0000 0.0000 0.2323 x6
N: 0.0204 0.5102 0.7674 x18

Peak list (8 most intense, 2θ from 10° to 90°, in order of rising 2θ)
| hkl | 2θ (°) | d (Å) | intensity |
| --- | --- | --- | --- |
| 0 0 3 | 14.74 | 6.011 | 40 |
| 0 0 6 | 29.73 | 3.006 | 36 |
| 2 0 2 | 30.17 | 2.962 | 100 |
| 0 2 4 | 34.85 | 2.575 | 98 |
| 2 0 8 | 49.82 | 1.830 | 34 |
| 2 2 0 | 50.39 | 1.811 | 34 |
| 0 2 10 | 59.10 | 1.563 | 20 |
| 2 2 6 | 59.61 | 1.551 | 32 |